# Rb2NdSO6
Calculated powder XRD pattern, Cu Kα (weighted mean of Kα1 and Kα2). Input: DFT lattice parameters and positions (PBE).
Intensities are scaled so that the largest is 100.

Cell and atoms:
```
Rb2NdSO6
1.0
6.4172 0.0000 0.0000
-3.2086 5.5575 0.0000
0.0000 0.0000 5.8407
Rb Nd S O
2 1 1 6
Cartesian
0.0000 3.7050 0.6101
3.2086 1.8525 5.2306
0.0000 0.0000 2.9203
0.0000 0.0000 0.0000
0.0000 1.3811 4.8523
-2.0125 4.8669 4.8523
1.1961 0.6906 0.9884
2.0125 4.8669 4.8523
5.2211 0.6906 0.9884
3.2086 4.1763 0.9884
```

Most intense lines, 5° ≤ 2θ ≤ 70°, by intensity:
2θ (°)	I/Imax
27.80	100
22.08	91
15.95	71
35.79	54
45.91	36
34.70	34
45.03	31
41.83	30
53.76	22
49.18	17


# LaBePt3
Calculated powder XRD pattern, Cu Kα (weighted mean of Kα1 and Kα2). Input: DFT lattice parameters and positions (PBE).
Intensities are scaled so that the largest is 100.

Cell and atoms:
```
LaBePt3
1.0
5.9164 0.0000 0.0000
-2.9582 5.1238 0.0000
0.0000 0.0000 5.8742
La Be Pt
2 2 6
Cartesian
0.0000 3.4158 1.4686
2.9582 1.7079 4.4057
0.0000 0.0000 0.0000
0.0000 0.0000 2.9371
0.0000 1.7874 4.4057
-1.4103 4.2301 4.4057
1.5479 0.8937 1.4686
1.4103 4.2301 4.4057
4.3685 0.8937 1.4686
2.9582 3.3364 1.4686
```

Most intense lines, 5° ≤ 2θ ≤ 70°, by intensity:
2θ (°)	I/Imax
38.33	100
30.43	41
59.41	28
35.03	21
47.07	19
62.83	16
63.33	5
23.03	4
46.92	1
56.96	1


# Ni7Rh5
Calculated powder XRD pattern, Cu Kα (weighted mean of Kα1 and Kα2). Input: DFT lattice parameters and positions (PBE).
Intensities are scaled so that the largest is 100.

Cell and atoms:
```
Ni7Rh5
1.0
4.1305 -2.1273 0.0000
4.1305 2.1273 0.0000
-2.7878 0.0000 8.6100
Ni Rh
7 5
Cartesian
0.0000 0.0000 0.0000
-1.4991 0.0000 6.2601
0.0990 0.0000 4.4275
1.5135 0.0000 6.4797
3.9598 0.0000 2.1302
5.3743 0.0000 4.1824
6.9724 0.0000 2.3498
1.3222 0.0000 2.1145
-0.0128 0.0000 8.4011
2.7367 0.0000 4.3050
5.4861 0.0000 0.2088
4.1511 0.0000 6.4955
```

Most intense lines, 5° ≤ 2θ ≤ 70°, by intensity:
2θ (°)	I/Imax
44.42	100
44.55	92
42.48	71
41.97	53
61.26	33
68.10	12
46.20	4
45.43	4
36.56	4
23.78	4


# ErAlNi
Calculated powder XRD pattern, Cu Kα (weighted mean of Kα1 and Kα2). Input: DFT lattice parameters and positions (PBE).
Intensities are scaled so that the largest is 100.

Cell and atoms:
```
ErAlNi
1.0
12.0674 0.0000 0.0000
0.0000 3.8631 0.0000
0.0000 0.0000 6.9682
Er Al Ni
6 6 6
Cartesian
0.4926 0.0000 1.7114
3.0168 0.0000 6.0795
5.5411 0.0000 1.7114
6.5263 0.0000 5.2568
9.0505 0.0000 0.8887
11.5748 0.0000 5.2568
1.6063 1.9316 4.0233
3.0168 1.9316 1.5463
4.4274 1.9316 4.0233
7.6400 1.9316 2.9449
9.0505 1.9316 5.4218
10.4611 1.9316 2.9449
1.1718 1.9316 6.6352
3.0168 0.0000 3.1856
4.8619 1.9316 6.6352
7.2055 1.9316 0.3330
9.0505 0.0000 3.7826
10.8956 1.9316 0.3330
```

Most intense lines, 5° ≤ 2θ ≤ 70°, by intensity:
2θ (°)	I/Imax
34.67	100
37.84	96
60.27	42
29.61	36
23.02	34
25.57	34
54.86	32
39.51	29
47.04	28
12.70	22


# Pm2NdHo3
Calculated powder XRD pattern, Cu Kα (weighted mean of Kα1 and Kα2). Input: DFT lattice parameters and positions (PBE).
Intensities are scaled so that the largest is 100.

Cell and atoms:
```
Pm2NdHo3
1.0
11.6612 -1.7572 0.0000
11.6612 1.7572 0.0000
-3.2797 0.0000 9.7989
Pm Nd Ho
4 2 6
Cartesian
1.1084 0.0000 1.3644
5.1483 0.0000 6.1498
14.8944 0.0000 3.6491
18.9343 0.0000 8.4345
4.1509 0.0000 9.4357
15.8918 0.0000 0.3632
-0.8935 0.0000 7.4508
6.1842 0.0000 2.7950
8.4714 0.0000 5.4306
11.5713 0.0000 4.3683
13.8585 0.0000 7.0039
20.9362 0.0000 2.3481
```

Most intense lines, 5° ≤ 2θ ≤ 70°, by intensity:
2θ (°)	I/Imax
32.37	100
30.90	88
30.26	82
32.54	55
28.13	47
36.70	35
53.16	27
36.84	24
61.77	22
62.64	22


# SrSm2OsN4
Calculated powder XRD pattern, Cu Kα (weighted mean of Kα1 and Kα2). Input: DFT lattice parameters and positions (PBE).
Intensities are scaled so that the largest is 100.

Cell and atoms:
```
SrSm2OsN4
1.0
1.7750 -6.1075 0.0000
1.7750 6.1075 0.0000
0.0000 0.0000 12.3563
Sr Sm Os N
2 4 2 8
Cartesian
1.7750 5.2696 9.2672
1.7750 -5.2696 3.0891
1.7750 1.5921 6.6976
1.7750 1.5921 11.8368
1.7750 -1.5921 0.5194
1.7750 -1.5921 5.6587
1.7750 3.8003 3.0891
1.7750 -3.8003 9.2672
0.0000 0.0000 0.0000
0.0000 0.0000 6.1781
1.7750 2.9474 1.4001
1.7750 2.9474 4.7780
1.7750 1.3069 9.2672
1.7750 -1.3069 3.0891
1.7750 -2.9474 7.5782
1.7750 -2.9474 10.9562
```

Most intense lines, 5° ≤ 2θ ≤ 70°, by intensity:
2θ (°)	I/Imax
36.60	100
29.94	100
16.19	56
28.90	54
34.14	52
34.29	44
30.15	40
39.33	37
58.94	34
50.26	31